# Si12HN8
Theoretical powder diffractogram, Cu Kα, 1.54184 Å. Input: a cell relaxed with PBE.

Atomic structure:
```
Si12HN8
1.0
6.7097 0.0000 0.0000
0.0000 6.7097 0.0000
0.0000 0.0000 6.6963
Si H N
12 1 8
Cartesian
0.0000 2.1625 0.0000
0.0000 2.1582 2.3864
0.0000 4.5473 0.0000
0.0000 4.5515 2.3864
2.1625 0.0000 0.0000
2.1582 0.0000 2.3864
2.1601 2.1601 4.5381
2.1601 4.5496 4.5381
4.5473 0.0000 0.0000
4.5515 0.0000 2.3864
4.5496 2.1601 4.5381
4.5496 4.5496 4.5381
0.0000 0.0000 4.9130
1.4882 1.4882 3.0549
1.4882 5.2215 3.0549
1.5071 1.5071 6.0405
1.5071 5.2026 6.0405
5.2026 1.5071 6.0405
5.2026 5.2026 6.0405
5.2215 1.4882 3.0549
5.2215 5.2215 3.0549
```

Largest 10 diffraction maxima, by angle, 15 to 90 degrees two-theta:
| (hkl) | 2theta | I/Imax |
| --- | --- | --- |
| 1 1 0 | 18.72 | 64 |
| 1 1 1 | 22.97 | 21 |
| 0 0 2 | 26.59 | 42 |
| 1 0 2 | 29.79 | 77 |
| 2 1 1 | 32.71 | 35 |
| 3 0 0 | 40.35 | 100 |
| 3 1 2 | 50.96 | 17 |
| 2 2 3 | 56.59 | 19 |
| 3 3 0 | 58.39 | 58 |
| 3 3 3 | 73.36 | 19 |

# Ho2ZnIr
Theoretical powder diffractogram, Cu Kα, 1.54184 Å. Input: a cell relaxed with PBE.

Atomic structure:
```
Ho2ZnIr
1.0
6.9630 0.0000 0.0000
0.0000 6.9630 0.0000
0.0000 0.0000 6.9630
Ho Zn Ir
8 4 4
Cartesian
1.7408 1.7408 1.7408
1.7408 1.7408 5.2223
1.7408 5.2223 1.7408
1.7408 5.2223 5.2223
5.2223 1.7408 1.7408
5.2223 1.7408 5.2223
5.2223 5.2223 1.7408
5.2223 5.2223 5.2223
0.0000 0.0000 0.0000
0.0000 3.4815 3.4815
3.4815 0.0000 3.4815
3.4815 3.4815 0.0000
0.0000 0.0000 3.4815
0.0000 3.4815 0.0000
3.4815 0.0000 0.0000
3.4815 3.4815 3.4815
```

Largest 10 diffraction maxima, by angle, 15 to 90 degrees two-theta:
| (hkl) | 2theta | I/Imax |
| --- | --- | --- |
| 1 1 1 | 22.11 | 9 |
| 2 2 0 | 36.50 | 100 |
| 3 1 1 | 43.09 | 5 |
| 4 0 0 | 52.57 | 18 |
| 3 3 1 | 57.71 | 2 |
| 4 2 2 | 65.69 | 36 |
| 5 1 1 | 70.24 | 2 |
| 4 4 0 | 77.56 | 11 |
| 5 3 1 | 81.84 | 2 |
| 6 2 0 | 88.89 | 16 |

# TaMoN3
Theoretical powder diffractogram, Cu Kα, 1.54184 Å. Input: a cell relaxed with PBE.

Atomic structure:
```
TaMoN3
1.0
5.4628 0.0000 0.0000
-1.4910 7.0839 0.0000
-1.2064 -3.0888 6.8104
Ta Mo N
4 4 12
Cartesian
-0.3919 2.9406 1.3053
-0.0783 6.4602 0.5716
2.8437 -2.4651 6.2387
3.1573 1.0545 5.5051
-1.3707 4.4658 3.6429
0.7711 2.2480 4.5329
1.9943 1.7471 2.2774
4.1361 -0.4707 3.1674
-1.1436 5.9065 2.3425
-0.6210 0.8830 4.3128
0.5080 1.2181 0.8473
0.2462 4.4737 0.2821
-0.3815 4.0061 5.4568
0.6802 3.3586 3.0033
2.0852 0.6365 3.8070
3.1469 -0.0110 1.3535
2.5192 -0.4786 6.5283
2.2574 2.7770 5.9631
3.3864 3.1121 2.4975
3.9090 -1.9115 4.4679
```

Largest 10 diffraction maxima, by angle, 15 to 90 degrees two-theta:
| (hkl) | 2theta | I/Imax |
| --- | --- | --- |
| 1 0 -1 | 18.68 | 74 |
| 1 0 -2 | 27.41 | 47 |
| 0 2 0 | 27.65 | 59 |
| 1 1 -2 | 27.94 | 39 |
| 1 2 -1 | 33.21 | 38 |
| 1 -2 2 | 33.46 | 100 |
| 0 1 2 | 34.49 | 47 |
| -2 1 1 | 34.80 | 38 |
| 1 1 -3 | 37.34 | 39 |
| 1 -3 0 | 40.54 | 44 |

# Er6CoBr10
Theoretical powder diffractogram, Cu Kα, 1.54184 Å. Input: a cell relaxed with PBE.

Atomic structure:
```
Er6CoBr10
1.0
7.2848 0.0000 0.0000
-2.3798 8.6971 0.0000
-1.1288 -3.2680 8.4226
Er Co Br
6 1 10
Cartesian
-0.7717 0.4954 3.4559
-0.7178 3.8807 2.1677
0.3243 3.3047 5.6872
3.4519 2.1244 2.7354
4.4941 1.5484 6.2549
4.5479 4.9337 4.9667
-1.7543 2.7146 4.2113
-1.8134 6.5184 2.7469
0.8041 1.5912 1.2760
-0.6221 1.9593 8.0998
-0.5635 5.7958 6.5219
1.8650 0.8680 4.9471
1.9112 4.5612 3.4756
4.3398 -0.3667 1.9007
4.3983 3.4698 0.3228
2.9721 3.8380 7.1467
5.5896 -1.0893 5.6757
```

Largest 10 diffraction maxima, by angle, 15 to 90 degrees two-theta:
| (hkl) | 2theta | I/Imax |
| --- | --- | --- |
| 2 0 1 | 30.33 | 96 |
| 1 1 -3 | 30.94 | 100 |
| 1 -3 0 | 31.44 | 96 |
| 1 2 -3 | 34.19 | 16 |
| 2 0 2 | 37.46 | 19 |
| 3 1 -2 | 43.43 | 62 |
| 1 -1 4 | 44.33 | 33 |
| 0 4 -3 | 44.69 | 61 |
| 1 3 1 | 45.03 | 34 |
| 0 2 4 | 56.02 | 16 |

# Fe15Co
Theoretical powder diffractogram, Cu Kα, 1.54184 Å. Input: a cell relaxed with PBE.

Atomic structure:
```
Fe15Co
1.0
5.6915 0.0000 0.0000
0.0000 5.6915 0.0000
0.0000 0.0000 5.6915
Fe Co
15 1
Cartesian
0.0000 0.0000 0.0000
0.0000 0.0000 2.8458
0.0000 2.8458 0.0000
0.0000 2.8458 2.8458
1.4259 1.4259 1.4259
1.4259 1.4259 4.2656
1.4259 4.2656 1.4259
1.4259 4.2656 4.2656
2.8458 0.0000 0.0000
2.8458 0.0000 2.8458
2.8458 2.8458 0.0000
4.2656 1.4259 1.4259
4.2656 1.4259 4.2656
4.2656 4.2656 1.4259
4.2656 4.2656 4.2656
2.8458 2.8458 2.8458
```

Largest 3 diffraction maxima, by angle, 15 to 90 degrees two-theta:
| (hkl) | 2theta | I/Imax |
| --- | --- | --- |
| 2 2 0 | 45.05 | 100 |
| 4 0 0 | 65.61 | 15 |
| 4 2 2 | 83.15 | 29 |